(1)
For Sr4GaSn3, a structure optimized by DFT (PBE) gives the simulated XRD peak list in this record (CuKα).
No peak broadening, texture or thermal motion is included.

Largest 10 diffraction maxima, by intensity, 2θ = 10–90°:
| Position (°2θ) | d_spacing | intensity |
| --- | --- | --- |
| 27.39 | 3.256 | 100.0 |
| 34.60 | 2.593 | 95.7 |
| 36.02 | 2.493 | 34.7 |
| 35.48 | 2.530 | 31.0 |
| 28.44 | 3.139 | 28.0 |
| 39.17 | 2.300 | 27.5 |
| 29.48 | 3.030 | 22.2 |
| 51.46 | 1.776 | 21.7 |
| 54.27 | 1.690 | 21.4 |
| 14.62 | 6.059 | 20.7 |

Cell and atoms:
Unit cell a=4.5992 b=4.9866 c=12.1183 alpha=90.00 beta=90.00 gamma=90.00
Fractional positions:
Sr  0.0000  0.0000  0.0000
Sr  0.0000  0.5000  0.4958
Sr  0.5000  0.0000  0.2702
Sr  0.5000  0.5000  0.7729
Ga  0.0000  0.5000  0.2090
Sn  0.0000  0.0000  0.7126
Sn  0.5000  0.0000  0.5573
Sn  0.5000  0.5000  0.0636



(2)
For Ta5Ga2Sn, a structure optimized by DFT (PBE) gives the simulated XRD peak list in this record (CuKα).
No peak broadening, texture or thermal motion is included.

Largest 10 diffraction maxima, by intensity, 2θ = 10–90°:
| Position (°2θ) | d_spacing | intensity |
| --- | --- | --- |
| 39.58 | 2.277 | 100.0 |
| 39.42 | 2.286 | 89.3 |
| 35.55 | 2.526 | 63.1 |
| 38.81 | 2.321 | 60.6 |
| 38.26 | 2.353 | 51.6 |
| 42.54 | 2.125 | 50.0 |
| 34.66 | 2.588 | 41.4 |
| 62.75 | 1.481 | 39.0 |
| 42.68 | 2.118 | 32.2 |
| 38.57 | 2.334 | 31.6 |

Cell and atoms:
Unit cell a=10.4796 b=7.8838 c=7.8145 alpha=83.76 beta=48.40 gamma=47.84
Fractional positions:
Ta  0.0633  0.2774  0.7226
Ta  0.2174  0.5793  0.4207
Ta  0.2446  0.7554  0.7554
Ta  0.2774  0.0633  0.9367
Ta  0.4207  0.7826  0.2174
Ta  0.5793  0.2174  0.7826
Ta  0.7226  0.9367  0.0633
Ta  0.7554  0.2446  0.2446
Ta  0.7826  0.4207  0.5793
Ta  0.9367  0.7226  0.2774
Ga  0.1665  0.8335  0.1665
Ga  0.2500  0.2500  0.2500
Ga  0.7500  0.7500  0.7500
Ga  0.8335  0.1665  0.8335
Sn  0.3299  0.3299  0.6701
Sn  0.6701  0.6701  0.3299



Repeat the first record exactly.
For Sr4GaSn3, a structure optimized by DFT (PBE) gives the simulated XRD peak list in this record (CuKα).
No peak broadening, texture or thermal motion is included.

Largest 10 diffraction maxima, by intensity, 2θ = 10–90°:
| Position (°2θ) | d_spacing | intensity |
| --- | --- | --- |
| 27.39 | 3.256 | 100.0 |
| 34.60 | 2.593 | 95.7 |
| 36.02 | 2.493 | 34.7 |
| 35.48 | 2.530 | 31.0 |
| 28.44 | 3.139 | 28.0 |
| 39.17 | 2.300 | 27.5 |
| 29.48 | 3.030 | 22.2 |
| 51.46 | 1.776 | 21.7 |
| 54.27 | 1.690 | 21.4 |
| 14.62 | 6.059 | 20.7 |

Cell and atoms:
Unit cell a=4.5992 b=4.9866 c=12.1183 alpha=90.00 beta=90.00 gamma=90.00
Fractional positions:
Sr  0.0000  0.0000  0.0000
Sr  0.0000  0.5000  0.4958
Sr  0.5000  0.0000  0.2702
Sr  0.5000  0.5000  0.7729
Ga  0.0000  0.5000  0.2090
Sn  0.0000  0.0000  0.7126
Sn  0.5000  0.0000  0.5573
Sn  0.5000  0.5000  0.0636